Diffraction record for CaB2H2. The X-ray diffraction stick pattern is computed, not measured: it uses DFT lattice parameters and positions (GGA-PBE) and Cu Kα (weighted mean of Kα1 and Kα2).
Intensities are scaled so that the largest is 100.

Largest 8 diffraction maxima, in order of rising 2θ, 10° ≤ 2θ ≤ 90°:
| Position (°2θ) | d/Å | Rel. int. | (hkl) |
| --- | --- | --- | --- |
| 20.24 | 4.387 | 27 | 4 0 0 |
| 25.87 | 3.443 | 100 | 2 0 1 |
| 29.14 | 3.064 | 79 | 2 1 0 |
| 39.08 | 2.305 | 34 | 6 0 1 |
| 41.16 | 2.193 | 24 | 8 0 0 |
| 41.42 | 2.180 | 26 | 6 1 0 |
| 42.07 | 2.148 | 87 | 4 1 1 |
| 57.71 | 1.597 | 19 | 2 1 2 |

Structural model:
Cell: 17.547 3.270 3.744 Å, 90.00 90.00 90.00°
Space group Pnma (No. 62)
One atom of each set of equivalent atoms:
Ca 0.125 0.250 0.246 (multiplicity 4)
B 0.002 0.250 0.608 (multiplicity 4)
B 0.248 0.250 0.719 (multiplicity 4)
H 0.042 0.750 0.131 (multiplicity 4)
H 0.065 0.250 0.758 (multiplicity 4)